Structure and simulated X-ray diffraction stick pattern of BaMgSn2Hg6 (DFT lattice parameters and positions (PBE); Cu Kα).

The 6 most intense peaks (2θ from 10° to 80°), sorted by position:
- hkl 2 2 1, 31.1°, I = 488
- hkl 2 2 -3, 31.2°, I = 1000
- hkl 3 1 -2, 31.7°, I = 723
- hkl 1 3 2, 32.6°, I = 669
- hkl 0 6 0, 35.8°, I = 459
- hkl 3 3 0, 38.8°, I = 445

```
data_BaMgSn2Hg6
_chemical_formula_sum 'Ba4 Mg4 Sn8 Hg24'
_space_group_name_H-M_alt 'C 1 2/c 1'
_space_group_IT_number 15
_cell_length_a 8.747
_cell_length_b 15.051
_cell_length_c 9.822
_cell_angle_alpha 90.00
_cell_angle_beta 116.04
_cell_angle_gamma 90.00
loop_
_space_group_symop_operation_xyz
'x,y,z'
'-x,-y,-z'
'-x,y,-z+1/2'
'x,-y,z+1/2'
'x+1/2,y+1/2,z'
'-x+1/2,-y+1/2,-z'
'-x+1/2,y+1/2,-z+1/2'
'x+1/2,-y+1/2,z+1/2'
loop_
_atom_site_label
_atom_site_type_symbol
_atom_site_fract_x
_atom_site_fract_y
_atom_site_fract_z
_atom_site_occupancy
Ba1 Ba 0.000 0.138 0.250 1
Mg1 Mg 0.000 0.311 0.750 1
Sn1 Sn 0.201 0.161 0.680 1
Hg1 Hg 0.060 0.341 0.472 1
Hg2 Hg 0.150 0.485 0.711 1
Hg3 Hg 0.181 0.141 0.989 1
```